This entry pairs a crystal structure of La5Rh with its theoretical XRD peak list. Radiation: CuKα. Structure: DFT lattice parameters and positions (PBE).

Largest 10 diffraction maxima, by angle, 15 to 90 degrees two-theta:
index	2θ/deg	Rel. int.
0 1 3	27.93	21.0
2 0 0	29.68	46.3
0 0 6	31.48	11.0
1 1 3	31.71	100.0
1 0 6	34.91	18.6
1 1 5	38.25	20.7
2 1 3	41.21	12.6
0 2 0	47.05	12.9
3 1 3	53.95	26.6
2 2 0	56.62	14.8

Structural model:
```
data_La5Rh
_symmetry_space_group_name_H-M 'A m m 2'
_symmetry_Int_Tables_number 38
_cell_length_a 6.0195
_cell_length_b 3.8628
_cell_length_c 17.0545
_cell_angle_alpha 90.00
_cell_angle_beta 90.00
_cell_angle_gamma 90.00
loop_
_symmetry_equiv_pos_as_xyz
'x,y,z'
'-x,-y,z'
'-x,y,z'
'x,-y,z'
'x,y+1/2,z+1/2'
'-x,-y+1/2,z+1/2'
'-x,y+1/2,z+1/2'
'x,-y+1/2,z+1/2'
loop_
_atom_site_label
_atom_site_type_symbol
_atom_site_fract_x
_atom_site_fract_y
_atom_site_fract_z
La1 La 0.0000 0.0000 0.0000
La2 La 0.0000 0.0000 0.2478
La3 La 0.5000 0.0000 0.0870
La4 La 0.5000 0.0000 0.4106
La5 La 0.5000 0.0000 0.7359
Rh1 Rh 0.0000 0.0000 0.6290
```